Entry 1:
Hg2Mo3O10: simulated X-ray powder pattern (λ = 1.5418 Å (Cu Kα)), based on a structure optimized by DFT (GGA+U).
No peak broadening, texture or thermal motion is included.

Main lines, low angle first (10 to 80 degrees two-theta):
2θ/deg  I (rel.)
18.98  37
20.04  75
23.07  38
23.66  81
26.84  77
27.06  61
29.59  100
30.27  53
30.52  59
31.27  52

Atomic structure:
```
Hg2Mo3O10
1.0
5.9335 0.0000 0.0000
-2.0813 9.3502 0.0000
-0.2028 -4.6195 8.8611
Hg Mo O
4 6 20
Cartesian
0.0000 0.0000 0.0000
-0.0976 -1.0936 3.3656
-0.0631 3.5407 1.8813
3.5539 4.6560 1.3538
1.3024 -1.6317 6.6962
0.2986 4.0206 6.2449
0.6474 7.2318 1.3806
2.7932 1.1705 2.6718
3.3058 1.6215 6.6063
4.1582 -2.2001 6.7571
-0.2266 -1.8906 5.4013
-1.2175 2.8105 6.1572
-0.2543 -1.9346 7.9294
-0.9521 6.7303 2.0288
-0.6462 5.4836 6.9408
1.3891 0.0395 2.0490
0.3330 4.4673 4.5863
0.3124 3.3481 8.6100
1.5414 0.1199 6.7325
1.9697 2.7630 2.3576
1.5259 5.6648 1.2683
2.8517 -1.9648 5.4066
1.7106 2.7392 6.2133
2.8837 -1.8466 8.0511
3.6875 -1.0608 2.5599
3.0596 1.1621 4.4333
1.9855 5.3266 6.7796
3.2610 1.9795 8.3180
4.3434 1.3818 1.8271
4.1874 0.0560 6.6289
```

=====

Entry 2:
PaHgMo2O8: simulated X-ray powder pattern (λ = 1.5418 Å (Cu Kα)), based on a structure optimized by DFT (GGA+U).
No peak broadening, texture or thermal motion is included.

Main lines, low angle first (10 to 80 degrees two-theta):
2θ/deg  I (rel.)
18.21  14
22.63  100
28.75  51
35.37  24
36.89  18
46.20  16
47.42  31
55.33  14
56.37  17
79.41  11

Atomic structure:
```
PaHgMo2O8
1.0
3.1054 1.7929 7.6741
-3.1054 1.7929 7.6741
0.0000 -3.5858 7.6741
Pa Hg Mo O
1 1 2 8
Cartesian
0.0000 0.0000 0.0000
0.0000 0.0000 11.5111
0.0000 0.0000 5.8298
0.0000 0.0000 17.1925
0.0000 -1.7353 6.4868
-1.5028 0.8677 6.4868
0.0000 0.0000 4.1079
-1.5028 -0.8677 16.5354
1.5028 0.8677 6.4868
0.0000 0.0000 18.9143
1.5028 -0.8677 16.5354
0.0000 1.7353 16.5354
```

=====

Entry 3:
HgMoPb2O6: simulated X-ray powder pattern (λ = 1.5418 Å (Cu Kα)), based on a structure optimized by DFT (GGA+U).
No peak broadening, texture or thermal motion is included.

Main lines, low angle first (10 to 80 degrees two-theta):
2θ/deg  I (rel.)
17.09  11
28.51  100
29.32  70
29.45  35
41.27  13
41.45  26
51.50  28
51.67  14
52.17  17
60.82  10

Atomic structure:
```
HgMoPb2O6
1.0
6.0651 0.0000 0.0000
-3.0260 5.2837 0.0000
-3.0265 -1.7704 5.1898
Hg Mo Pb O
1 1 2 6
Cartesian
0.0000 0.0000 0.0000
-3.0188 1.7457 3.5234
0.0177 3.5090 1.6523
0.0117 -0.0187 4.3147
-3.6696 0.3342 5.0529
-1.9384 0.5157 2.7108
-2.5016 3.2895 2.6997
-3.8966 3.0018 5.0462
-1.4655 1.8708 5.0431
1.4432 1.4124 2.7129
```

=====

Entry 4:
Hg2MoPb2O6: simulated X-ray powder pattern (λ = 1.5418 Å (Cu Kα)), based on a structure optimized by DFT (GGA+U).
No peak broadening, texture or thermal motion is included.

Main lines, low angle first (10 to 80 degrees two-theta):
2θ/deg  I (rel.)
16.63  66
20.90  37
25.30  100
30.43  38
30.92  66
31.03  86
33.30  53
36.47  36
43.97  30
46.67  32

Atomic structure:
```
Hg2MoPb2O6
1.0
2.9404 -5.3302 0.0000
2.9404 5.3302 0.0000
-1.2960 0.0000 7.0401
Hg Mo Pb O
2 1 2 6
Cartesian
2.9404 2.9743 0.0000
2.9404 -2.9743 0.0000
-0.6480 0.0000 3.5201
2.2924 1.7501 3.5201
2.2924 -1.7501 3.5201
1.5090 3.8962 4.6361
3.0758 3.8962 2.4041
1.0115 0.0000 4.5587
3.5733 0.0000 2.4814
1.5090 -3.8962 4.6361
3.0758 -3.8962 2.4041
```